Record 1
For Ba2H2PdS10O34, DFT lattice parameters and positions (PBE) gives the calculated PXRD pattern in this record (copper Kα).
Neutral-atom scattering factors, no anomalous dispersion.

Crystal structure
Cell: 9.220 9.481 9.568 Å, 60.71 81.54 87.77°
Space group P-1 (No. 2)
Unique sites:
1 Ba 0.240 0.203 0.084 [2 per cell]
2 H 0.088 0.659 0.439 [2 per cell]
3 Pd 0.500 0.500 0.500 [1 per cell]
4 S 0.113 0.749 0.178 [2 per cell]
5 S 0.144 0.654 0.729 [2 per cell]
6 S 0.205 0.999 0.594 [2 per cell]
7 S 0.366 0.538 0.205 [2 per cell]
8 S 0.429 0.121 0.710 [2 per cell]
9 O 0.001 0.683 0.792 [2 per cell]
10 O 0.003 0.788 0.074 [2 per cell]
11 O 0.039 0.648 0.354 [2 per cell]
12 O 0.089 0.031 0.689 [2 per cell]
13 O 0.158 0.666 0.571 [2 per cell]
14 O 0.191 0.036 0.432 [2 per cell]
15 O 0.207 0.619 0.141 [2 per cell]
16 O 0.211 0.874 0.159 [2 per cell]
17 O 0.223 0.525 0.843 [2 per cell]
18 O 0.256 0.818 0.693 [2 per cell]
19 O 0.310 0.159 0.800 [2 per cell]
20 O 0.336 0.490 0.381 [2 per cell]
21 O 0.355 0.093 0.570 [2 per cell]
22 O 0.367 0.402 0.176 [2 per cell]
23 O 0.467 0.742 0.407 [2 per cell]
24 O 0.479 0.662 0.113 [2 per cell]
25 O 0.494 0.025 0.205 [2 per cell]

Most intense lines, 10 to 90 degrees two-theta, low angle first:
| h k l | 2theta | I (rel.) |
| --- | --- | --- |
| 1 1 1 | 13.76 | 58 |
| 1 0 -1 | 15.51 | 35 |
| 0 2 1 | 18.74 | 51 |
| 2 -1 0 | 21.90 | 82 |
| 1 0 2 | 22.30 | 79 |
| -1 1 2 | 22.40 | 100 |
| -2 1 1 | 23.35 | 82 |
| 1 2 0 | 23.99 | 86 |
| 0 2 -1 | 28.50 | 40 |
| 1 2 3 | 29.21 | 42 |
| -1 3 1 | 30.49 | 62 |
| -3 1 1 | 32.55 | 43 |

***

Record 2
For Rb2Ba6Sb5HO, DFT lattice parameters and positions (PBE) gives the calculated PXRD pattern in this record (copper Kα).
Neutral-atom scattering factors, no anomalous dispersion.

Crystal structure
Cell: 8.915 8.915 28.701 Å, 90.00 90.00 90.00°
Space group I4/mcm (No. 140)
Unique sites:
1 Rb 0.167 0.333 0.000 [8 per cell]
2 Ba 0.000 0.000 0.093 [8 per cell]
3 Ba 0.158 0.342 0.194 [16 per cell]
4 Sb 0.000 0.000 0.250 [4 per cell]
5 Sb 0.116 0.384 0.397 [16 per cell]
6 H 0.000 0.000 0.000 [4 per cell]
7 O 0.000 0.500 0.250 [4 per cell]

Most intense lines, 10 to 90 degrees two-theta, low angle first:
| h k l | 2theta | I (rel.) |
| --- | --- | --- |
| 1 1 6 | 23.34 | 8 |
| 2 1 5 | 27.23 | 100 |
| 2 0 6 | 27.35 | 27 |
| 2 2 0 | 28.31 | 9 |
| 0 0 10 | 31.16 | 19 |
| 3 1 0 | 31.74 | 42 |
| 3 2 5 | 39.69 | 11 |
| 3 1 10 | 45.08 | 16 |
| 4 0 10 | 51.94 | 7 |
| 2 1 15 | 53.09 | 13 |
| 5 1 6 | 56.00 | 8 |
| 5 2 5 | 57.98 | 11 |

***

Record 3
For BaRe2H2O9, DFT lattice parameters and positions (PBE) gives the calculated PXRD pattern in this record (copper Kα).
Neutral-atom scattering factors, no anomalous dispersion.

Crystal structure
Cell: 7.534 7.606 15.849 Å, 90.20 94.57 90.57°
Space group P-1 (No. 2)
Unique sites:
1 Ba 0.230 0.182 0.364 [2 per cell]
2 Ba 0.232 0.804 0.864 [2 per cell]
3 Re 0.233 0.292 0.994 [2 per cell]
4 Re 0.236 0.701 0.491 [2 per cell]
5 Re 0.284 0.142 0.649 [2 per cell]
6 Re 0.305 0.847 0.151 [2 per cell]
7 H 0.069 0.508 0.717 [2 per cell]
8 H 0.083 0.492 0.222 [2 per cell]
9 H 0.412 0.550 0.714 [2 per cell]
10 H 0.427 0.451 0.220 [2 per cell]
11 O 0.005 0.412 0.252 [2 per cell]
12 O 0.074 0.341 0.065 [2 per cell]
13 O 0.076 0.669 0.564 [2 per cell]
14 O 0.142 0.132 0.922 [2 per cell]
15 O 0.151 0.845 0.412 [2 per cell]
16 O 0.165 0.982 0.703 [2 per cell]
17 O 0.187 0.011 0.200 [2 per cell]
18 O 0.219 0.132 0.541 [2 per cell]
19 O 0.236 0.839 0.043 [2 per cell]
20 O 0.248 0.356 0.686 [2 per cell]
21 O 0.267 0.639 0.194 [2 per cell]
22 O 0.287 0.501 0.444 [2 per cell]
23 O 0.289 0.480 0.938 [2 per cell]
24 O 0.423 0.212 0.052 [2 per cell]
25 O 0.430 0.787 0.545 [2 per cell]
26 O 0.466 0.105 0.840 [2 per cell]
27 O 0.488 0.903 0.338 [2 per cell]
28 O 0.492 0.631 0.748 [2 per cell]

Most intense lines, 10 to 90 degrees two-theta, low angle first:
| h k l | 2theta | I (rel.) |
| --- | --- | --- |
| 0 0 2 | 11.20 | 21 |
| 0 1 0 | 11.63 | 17 |
| -1 1 3 | 23.03 | 100 |
| 0 2 0 | 23.39 | 25 |
| 2 0 0 | 23.70 | 63 |
| 1 -1 3 | 24.30 | 51 |
| 1 1 3 | 24.49 | 46 |
| 2 0 -2 | 25.43 | 36 |
| -1 2 1 | 26.59 | 24 |
| 1 2 -1 | 26.76 | 20 |
| 1 1 -5 | 32.08 | 21 |
| 1 4 -1 | 49.79 | 14 |

***

Record 4
For Ba8Sb4H2O, DFT lattice parameters and positions (PBE) gives the calculated PXRD pattern in this record (copper Kα).
Neutral-atom scattering factors, no anomalous dispersion.

Crystal structure
Cell: 5.261 5.261 38.112 Å, 90.00 90.00 90.00°
Space group I4/mmm (No. 139)
Unique sites:
1 Ba 0.000 0.000 0.085 [4 per cell]
2 Ba 0.000 0.000 0.341 [4 per cell]
3 Ba 0.000 0.500 0.000 [4 per cell]
4 Ba 0.000 0.500 0.250 [4 per cell]
5 Sb 0.000 0.000 0.180 [4 per cell]
6 Sb 0.000 0.000 0.433 [4 per cell]
7 H 0.000 0.000 0.271 [4 per cell]
8 O 0.000 0.000 0.000 [2 per cell]

Most intense lines, 10 to 90 degrees two-theta, low angle first:
| h k l | 2theta | I (rel.) |
| --- | --- | --- |
| 1 1 0 | 23.92 | 19 |
| 1 1 4 | 25.71 | 97 |
| 0 0 12 | 28.10 | 38 |
| 1 1 8 | 30.49 | 100 |
| 1 0 11 | 30.90 | 20 |
| 2 0 0 | 34.08 | 71 |
| 2 0 12 | 44.73 | 42 |
| 2 1 11 | 46.67 | 13 |
| 2 2 0 | 48.97 | 25 |
| 3 1 4 | 56.12 | 22 |
| 2 2 12 | 57.41 | 20 |
| 3 1 8 | 58.79 | 31 |

***

Record 5
For Ba2H2Se2O, DFT lattice parameters and positions (PBE) gives the calculated PXRD pattern in this record (copper Kα).
Neutral-atom scattering factors, no anomalous dispersion.

Crystal structure
Cell: 4.361 5.238 7.806 Å, 80.55 75.46 74.37°
Space group P-1 (No. 2)
Unique sites:
1 Ba 0.087 0.222 0.214 [2 per cell]
2 H 0.323 0.746 0.026 [2 per cell]
3 Se 0.453 0.222 0.549 [2 per cell]
4 O 0.500 0.500 0.000 [1 per cell]

Most intense lines, 10 to 90 degrees two-theta, low angle first:
| h k l | 2theta | I (rel.) |
| --- | --- | --- |
| 0 1 1 | 20.24 | 70 |
| 0 1 -1 | 22.30 | 31 |
| 1 1 1 | 24.23 | 37 |
| 1 0 -1 | 26.95 | 54 |
| 0 1 2 | 28.16 | 32 |
| 1 0 2 | 28.52 | 100 |
| 1 1 -1 | 30.09 | 57 |
| 1 -1 1 | 32.48 | 29 |
| 0 2 0 | 35.80 | 79 |
| 1 2 2 | 39.54 | 35 |
| 0 1 -3 | 41.92 | 52 |
| -1 2 1 | 48.66 | 38 |